Diffraction record for SrBe2B2O6. The powder diffractogram is calculated, not measured: it uses a DFT-relaxed cell (PBE, Alexandria) and Cu Kα (λ = 1.5418 Å).
Neutral-atom scattering factors, no anomalous dispersion.

Atomic structure:
Lattice parameters (Å, degrees): 9.316 4.523 11.974 90.00 114.48 90.00
Sites, in units of the cell vectors:
Sr  0.228  0.028  0.153
Sr  0.228  0.472  0.653
Sr  0.772  0.528  0.347
Sr  0.772  0.972  0.847
Be  0.091  0.564  0.306
Be  0.091  0.936  0.806
Be  0.422  0.597  0.047
Be  0.422  0.903  0.547
Be  0.578  0.097  0.453
Be  0.578  0.403  0.953
Be  0.909  0.064  0.194
Be  0.909  0.436  0.694
B  0.130  0.094  0.423
B  0.130  0.406  0.923
B  0.405  0.561  0.355
B  0.405  0.939  0.855
B  0.595  0.061  0.145
B  0.595  0.439  0.645
B  0.870  0.594  0.077
B  0.870  0.906  0.577
O  0.060  0.579  0.817
O  0.060  0.921  0.317
O  0.078  0.118  0.920
O  0.078  0.382  0.420
O  0.246  0.511  0.030
O  0.246  0.989  0.530
O  0.248  0.005  0.786
O  0.248  0.495  0.286
O  0.442  0.666  0.915
O  0.442  0.834  0.415
O  0.479  0.630  0.641
O  0.479  0.870  0.141
O  0.521  0.130  0.859
O  0.521  0.370  0.359
O  0.558  0.166  0.585
O  0.558  0.334  0.085
O  0.752  0.505  0.714
O  0.752  0.995  0.214
O  0.754  0.011  0.470
O  0.754  0.489  0.970
O  0.922  0.618  0.580
O  0.922  0.882  0.080
O  0.940  0.079  0.683
O  0.940  0.421  0.183

Main lines, sorted by position (10 to 90 degrees two-theta):
hkl  2θ/deg  intensity
1 1 -1  22.18  486
3 0 -2  28.93  607
0 1 3  31.60  1000
2 1 -3  31.83  610
1 1 -5  43.25  384
2 0 -6  45.46  367